[1]
Structure and computed powder diffraction line list of HoIrRh (a GGA-PBE-relaxed structure; a wavelength of 1.5418 Å).
No peak broadening, texture or thermal motion is included.

The 6 most intense peaks (2θ = 10–90°), by angle:
d [Å]	2θ/deg	I/Imax
2.669	33.57	46
2.280	39.52	51
2.273	39.65	100
2.179	41.44	54
1.451	64.19	24
1.335	70.55	34

```
HoIrRh
1.0
-2.662 2.667 3.784
2.662 -2.667 3.784
2.662 2.667 -3.784
Ho Ir Rh
2 2 2
Direct
0.374 0.124 0.250
0.626 0.876 0.750
0.000 0.000 0.500
0.000 0.500 0.000
0.000 0.500 0.500
0.500 0.500 0.000
```

=====

[2]
Structure and computed powder diffraction line list of Sm2O3 (a GGA-PBE-relaxed structure; a wavelength of 1.5418 Å).
No peak broadening, texture or thermal motion is included.

The 6 most intense peaks (2θ = 10–90°), by angle:
d [Å]	2θ/deg	I/Imax
3.213	27.77	100
2.748	32.59	24
1.980	45.82	30
1.943	46.76	17
1.710	53.59	10
1.663	55.25	29

```
Sm2O3
1.0
3.886 0.000 0.000
0.000 3.886 0.000
0.000 0.000 5.713
Sm O
2 3
Direct
0.000 0.500 0.214
0.500 0.000 0.786
0.000 0.000 0.000
0.000 0.000 0.500
0.500 0.500 0.000
```

=====

[3]
Structure and computed powder diffraction line list of Pu3Au4 (a GGA-PBE-relaxed structure; a wavelength of 1.5418 Å).
No peak broadening, texture or thermal motion is included.

The 6 most intense peaks (2θ = 10–90°), by angle:
d [Å]	2θ/deg	I/Imax
4.317	20.57	6
2.532	35.45	100
1.790	51.01	18
1.462	63.65	37
1.266	75.02	12
1.132	85.81	17

```
Pu3Au4
1.0
2.531 1.461 8.276
-2.531 1.461 8.276
0.000 -2.923 8.276
Pu Au
3 4
Direct
0.000 0.000 0.000
0.245 0.245 0.245
0.755 0.755 0.755
0.123 0.123 0.123
0.374 0.374 0.374
0.626 0.626 0.626
0.877 0.877 0.877
```

=====

[4]
Structure and computed powder diffraction line list of Li3SbP2O8 (a GGA-PBE-relaxed structure; a wavelength of 1.5418 Å).
No peak broadening, texture or thermal motion is included.

The 6 most intense peaks (2θ = 10–90°), by angle:
d [Å]	2θ/deg	I/Imax
7.471	11.85	53
3.693	24.10	100
2.805	31.90	50
2.453	36.64	23
2.330	38.63	29
2.043	44.34	22

```
Li3SbP2O8
1.0
8.497 0.000 0.000
-4.248 7.359 0.000
0.000 0.000 7.471
Li Sb P O
9 3 6 24
Direct
0.000 0.000 0.000
0.005 0.660 0.861
0.333 0.667 0.000
0.340 0.345 0.861
0.345 0.005 0.139
0.655 0.995 0.861
0.660 0.655 0.139
0.667 0.333 0.000
0.995 0.340 0.139
0.000 0.000 0.500
0.333 0.667 0.547
0.667 0.333 0.453
0.019 0.691 0.253
0.309 0.328 0.253
0.328 0.019 0.747
0.672 0.981 0.253
0.691 0.672 0.747
0.981 0.309 0.747
0.092 0.213 0.780
0.116 0.524 0.740
0.121 0.908 0.780
0.125 0.764 0.430
0.150 0.722 0.095
0.213 0.121 0.220
0.236 0.361 0.430
0.278 0.428 0.095
0.361 0.125 0.570
0.408 0.884 0.740
0.428 0.150 0.905
0.476 0.592 0.740
0.524 0.408 0.260
0.572 0.850 0.095
0.592 0.116 0.260
0.639 0.875 0.430
0.722 0.572 0.905
0.764 0.639 0.570
0.787 0.879 0.780
0.850 0.278 0.905
0.875 0.236 0.570
0.879 0.092 0.220
0.884 0.476 0.260
0.908 0.787 0.220
```

=====

[5]
Structure and computed powder diffraction line list of AgAuBr6 (a GGA-PBE-relaxed structure; a wavelength of 1.5418 Å).
No peak broadening, texture or thermal motion is included.

The 6 most intense peaks (2θ = 10–90°), by angle:
d [Å]	2θ/deg	I/Imax
4.982	17.81	100
3.527	25.25	23
3.003	29.75	76
2.491	36.06	25
2.231	40.44	56
2.031	44.61	53

```
AgAuBr6
1.0
3.517 2.030 5.770
-3.517 2.030 5.770
0.000 -4.061 5.770
Ag Au Br
1 1 6
Direct
0.000 0.000 0.000
0.500 0.500 0.500
0.125 0.729 0.393
0.271 0.607 0.875
0.393 0.125 0.729
0.607 0.875 0.271
0.729 0.393 0.125
0.875 0.271 0.607
```

=====

[6]
Structure and computed powder diffraction line list of LaCo5H4 (a GGA-PBE-relaxed structure; a wavelength of 1.5418 Å).
No peak broadening, texture or thermal motion is included.

The 6 most intense peaks (2θ = 10–90°), by angle:
d [Å]	2θ/deg	I/Imax
3.060	29.19	37
3.000	29.78	43
2.297	39.22	60
2.251	40.05	60
2.182	41.39	100
2.051	44.16	45

```
LaCo5H4
1.0
2.693 -4.400 0.000
2.693 4.400 0.000
0.000 0.000 4.102
La Co H
1 5 4
Direct
0.000 0.000 0.000
0.000 0.500 0.513
0.364 0.636 0.022
0.500 0.000 0.513
0.500 0.500 0.517
0.636 0.364 0.022
0.000 0.500 0.940
0.144 0.856 0.496
0.500 0.000 0.940
0.856 0.144 0.496
```

=====

[7]
Structure and computed powder diffraction line list of Nd3Rh2 (a GGA-PBE-relaxed structure; a wavelength of 1.5418 Å).
No peak broadening, texture or thermal motion is included.

The 6 most intense peaks (2θ = 10–90°), by angle:
d [Å]	2θ/deg	I/Imax
3.142	28.40	68
2.861	31.26	58
2.776	32.25	66
2.695	33.25	100
2.491	36.05	67
2.281	39.51	61

```
Nd3Rh2
1.0
11.323 0.000 0.000
0.000 4.087 0.000
0.000 0.000 11.346
Nd Rh
12 8
Direct
0.051 0.250 0.130
0.116 0.750 0.563
0.221 0.250 0.812
0.279 0.750 0.312
0.384 0.250 0.063
0.449 0.750 0.630
0.551 0.250 0.370
0.616 0.750 0.937
0.721 0.250 0.688
0.779 0.750 0.188
0.884 0.250 0.437
0.949 0.750 0.870
0.010 0.750 0.313
0.185 0.750 0.996
0.315 0.250 0.496
0.490 0.250 0.813
0.510 0.750 0.187
0.685 0.750 0.504
0.815 0.250 0.004
0.990 0.250 0.687
```

=====

[8]
Structure and computed powder diffraction line list of Ca2ZnIn5 (a GGA-PBE-relaxed structure; a wavelength of 1.5418 Å).
No peak broadening, texture or thermal motion is included.

The 6 most intense peaks (2θ = 10–90°), by angle:
d [Å]	2θ/deg	I/Imax
2.690	33.31	100
2.332	38.61	33
2.324	38.74	16
1.646	55.85	22
1.406	66.51	25
1.402	66.70	12

```
Ca2ZnIn5
1.0
-3.298 3.298 4.648
3.298 -3.298 4.648
3.298 3.298 -4.648
Ca Zn In
2 1 5
Direct
0.000 0.500 0.500
0.500 0.000 0.500
0.499 0.499 0.000
0.000 0.000 0.499
0.000 0.500 0.000
0.001 0.001 0.000
0.500 0.000 0.000
0.500 0.500 0.501
```

=====

[9]
Structure and computed powder diffraction line list of Dy12Tm2In (a GGA-PBE-relaxed structure; a wavelength of 1.5418 Å).
No peak broadening, texture or thermal motion is included.

The 6 most intense peaks (2θ = 10–90°), by angle:
d [Å]	2θ/deg	I/Imax
2.953	30.26	11
2.891	30.93	19
2.829	31.62	15
2.794	32.03	100
2.614	34.31	23
2.524	35.56	13

```
Dy12Tm2In
1.0
3.531 -5.599 0.000
3.531 5.599 0.000
-3.501 0.000 23.625
Dy Tm In
24 4 2
Direct
0.006 0.006 0.399
0.085 0.608 0.943
0.102 0.102 0.927
0.118 0.575 0.435
0.141 0.710 0.694
0.223 0.704 0.175
0.290 0.859 0.306
0.296 0.777 0.825
0.392 0.915 0.057
0.424 0.424 0.080
0.425 0.882 0.565
0.486 0.486 0.349
0.514 0.514 0.651
0.575 0.118 0.435
0.576 0.576 0.920
0.608 0.085 0.943
0.704 0.223 0.175
0.710 0.141 0.694
0.777 0.296 0.825
0.859 0.290 0.306
0.882 0.425 0.565
0.898 0.898 0.073
0.915 0.392 0.057
0.994 0.994 0.601
0.225 0.225 0.213
0.252 0.252 0.766
0.748 0.748 0.234
0.775 0.775 0.787
0.307 0.307 0.517
0.693 0.693 0.483
```

=====

[10]
Structure and computed powder diffraction line list of Ba8CuP3I3 (a GGA-PBE-relaxed structure; a wavelength of 1.5418 Å).
No peak broadening, texture or thermal motion is included.

The 6 most intense peaks (2θ = 10–90°), by angle:
d [Å]	2θ/deg	I/Imax
3.430	25.98	100
3.169	28.16	14
2.478	36.25	33
2.376	37.87	38
1.953	46.50	19
1.509	61.46	16

```
Ba8CuP3I3
1.0
4.751 2.743 8.279
-4.751 2.743 8.279
0.000 -5.486 8.279
Ba Cu P I
8 1 3 3
Direct
0.220 0.747 0.747
0.235 0.235 0.235
0.253 0.253 0.780
0.253 0.780 0.253
0.747 0.220 0.747
0.747 0.747 0.220
0.765 0.765 0.765
0.780 0.253 0.253
0.500 0.500 0.500
0.000 0.000 0.500
0.000 0.500 0.000
0.500 0.000 0.000
0.000 0.500 0.500
0.500 0.000 0.500
0.500 0.500 0.000
```

=====

[11]
Structure and computed powder diffraction line list of Pm3Mg2Zn (a GGA-PBE-relaxed structure; a wavelength of 1.5418 Å).
No peak broadening, texture or thermal motion is included.

The 6 most intense peaks (2θ = 10–90°), by angle:
d [Å]	2θ/deg	I/Imax
3.882	22.91	19
3.754	23.70	39
2.699	33.20	100
2.654	33.77	51
1.877	48.50	18
1.541	60.04	36

```
Pm3Mg2Zn
1.0
3.754 0.000 0.000
0.000 3.754 0.000
0.000 0.000 11.647
Pm Mg Zn
3 2 1
Direct
0.000 0.000 0.000
0.000 0.000 0.351
0.000 0.000 0.649
0.500 0.500 0.172
0.500 0.500 0.828
0.500 0.500 0.500
```

=====

[12]
Structure and computed powder diffraction line list of PmBe2SiRu (a GGA-PBE-relaxed structure; a wavelength of 1.5418 Å).
No peak broadening, texture or thermal motion is included.

The 6 most intense peaks (2θ = 10–90°), by angle:
d [Å]	2θ/deg	I/Imax
3.637	24.48	100
2.562	35.02	64
2.555	35.12	19
2.422	37.12	92
1.810	50.43	22
1.549	59.67	35

```
PmBe2SiRu
1.0
-1.942 1.948 5.110
1.942 -1.948 5.110
1.942 1.948 -5.110
Pm Be Si Ru
1 2 1 1
Direct
0.000 0.000 0.000
0.625 0.625 0.000
0.748 0.248 0.500
0.374 0.374 0.000
0.240 0.740 0.500
```

=====

[13]
Structure and computed powder diffraction line list of KRbOs3 (a GGA-PBE-relaxed structure; a wavelength of 1.5418 Å).
No peak broadening, texture or thermal motion is included.

The 6 most intense peaks (2θ = 10–90°), by angle:
d [Å]	2θ/deg	I/Imax
2.924	30.58	100
2.532	35.45	65
1.790	51.01	47
1.527	60.65	44
1.162	83.15	19
1.132	85.82	22

```
KRbOs3
1.0
5.064 0.000 0.000
0.000 5.064 0.000
0.000 0.000 5.064
K Rb Os
1 1 3
Direct
0.000 0.000 0.000
0.500 0.500 0.500
0.000 0.000 0.500
0.000 0.500 0.000
0.500 0.000 0.000
```